Simulated X-ray powder pattern
Compound: MnZnTe2
Radiation: CuKα
Structure: DFT lattice parameters and positions (PBE)

Principal peaks in the range 2θ from 15° to 90°, by angle:
| 2θ (°) | intensity |
| --- | --- |
| 24.58 | 100 |
| 28.46 | 9 |
| 40.63 | 35 |
| 40.75 | 35 |
| 48.09 | 36 |
| 48.20 | 12 |
| 58.90 | 11 |
| 64.70 | 10 |
| 64.83 | 5 |
| 73.99 | 17 |
| 74.24 | 6 |
| 79.35 | 11 |

Structure:
a b c (Å): 4.4406 4.4406 21.6690
angles (deg): 90.00 90.00 120.00
Element x y z (fractional)
Mn 0.0000 0.0000 0.0000
Mn 0.3333 0.6667 0.6667
Mn 0.6667 0.3333 0.3333
Zn 0.0000 0.0000 0.5002
Zn 0.3333 0.6667 0.1668
Zn 0.6667 0.3333 0.8335
Te 0.0000 0.0000 0.3764
Te 0.0000 0.0000 0.8740
Te 0.3333 0.6667 0.0431
Te 0.3333 0.6667 0.5407
Te 0.6667 0.3333 0.2074
Te 0.6667 0.3333 0.7098


Simulated X-ray powder pattern
Compound: MnZnTe2
Radiation: CuKα
Structure: DFT lattice parameters and positions (PBE)

Principal peaks in the range 2θ from 15° to 90°, by angle:
| 2θ (°) | intensity |
| --- | --- |
| 24.58 | 100 |
| 28.46 | 9 |
| 40.69 | 71 |
| 48.12 | 48 |
| 58.85 | 8 |
| 59.00 | 4 |
| 64.79 | 19 |
| 74.01 | 15 |
| 74.12 | 7 |
| 79.34 | 11 |
| 79.52 | 3 |
| 88.15 | 5 |

Structure:
a b c (Å): 4.4386 4.4386 6.2620
angles (deg): 90.00 90.00 90.00
Element x y z (fractional)
Mn 0.0000 0.0000 0.0000
Zn 0.5000 0.5000 0.5000
Te 0.0000 0.5000 0.2551
Te 0.5000 0.0000 0.7449


Simulated X-ray powder pattern
Compound: Zr6MnTe2
Radiation: CuKα
Structure: DFT lattice parameters and positions (PBE)

Principal peaks in the range 2θ from 15° to 90°, by angle:
| 2θ (°) | intensity |
| --- | --- |
| 33.51 | 100 |
| 35.00 | 65 |
| 36.10 | 79 |
| 39.88 | 41 |
| 43.07 | 38 |
| 49.81 | 21 |
| 54.87 | 13 |
| 62.32 | 23 |
| 62.78 | 11 |
| 65.14 | 29 |
| 65.62 | 18 |
| 68.36 | 18 |

Structure:
a b c (Å): 7.8316 7.8316 3.6615
angles (deg): 90.00 90.00 120.00
Element x y z (fractional)
Zr 0.0000 0.2406 0.0000
Zr 0.0000 0.5973 0.5000
Zr 0.2406 0.0000 0.0000
Zr 0.4027 0.4027 0.5000
Zr 0.5973 0.0000 0.5000
Zr 0.7594 0.7594 0.0000
Mn 0.0000 0.0000 0.5000
Te 0.3333 0.6667 0.0000
Te 0.6667 0.3333 0.0000


Simulated X-ray powder pattern
Compound: ThMn12
Radiation: CuKα
Structure: DFT lattice parameters and positions (PBE)

Principal peaks in the range 2θ from 15° to 90°, by angle:
| 2θ (°) | intensity |
| --- | --- |
| 21.62 | 26 |
| 30.45 | 72 |
| 33.80 | 23 |
| 37.39 | 47 |
| 38.16 | 18 |
| 43.14 | 55 |
| 43.37 | 100 |
| 44.06 | 72 |
| 62.84 | 17 |
| 63.37 | 16 |
| 72.58 | 21 |
| 79.27 | 18 |

Structure:
a b c (Å): 6.3821 6.3821 6.3821
angles (deg): 97.85 97.85 136.63
Element x y z (fractional)
Th 0.0000 0.0000 0.0000
Mn 0.0000 0.0000 0.5000
Mn 0.0000 0.3675 0.3675
Mn 0.0000 0.5000 0.0000
Mn 0.0000 0.6325 0.6325
Mn 0.2675 0.5000 0.7675
Mn 0.3675 0.0000 0.3675
Mn 0.5000 0.0000 0.0000
Mn 0.5000 0.2675 0.7675
Mn 0.5000 0.5000 0.5000
Mn 0.5000 0.7325 0.2325
Mn 0.6325 0.0000 0.6325
Mn 0.7325 0.5000 0.2325


Repeat the second record exactly.
Simulated X-ray powder pattern
Compound: MnZnTe2
Radiation: CuKα
Structure: DFT lattice parameters and positions (PBE)

Principal peaks in the range 2θ from 15° to 90°, by angle:
| 2θ (°) | intensity |
| --- | --- |
| 24.58 | 100 |
| 28.46 | 9 |
| 40.69 | 71 |
| 48.12 | 48 |
| 58.85 | 8 |
| 59.00 | 4 |
| 64.79 | 19 |
| 74.01 | 15 |
| 74.12 | 7 |
| 79.34 | 11 |
| 79.52 | 3 |
| 88.15 | 5 |

Structure:
a b c (Å): 4.4386 4.4386 6.2620
angles (deg): 90.00 90.00 90.00
Element x y z (fractional)
Mn 0.0000 0.0000 0.0000
Zn 0.5000 0.5000 0.5000
Te 0.0000 0.5000 0.2551
Te 0.5000 0.0000 0.7449


Question: What is the formula in the second record?
Answer: MnZnTe2